This entry pairs a crystal structure of Lu6Ge4O17 with its simulated X-ray powder pattern. Radiation: Cu Kα X-rays. Structure: a PBE-relaxed structure.
Kinematic intensities with the Lorentz-polarization factor, no thermal factor.

```
data_Lu6Ge4O17
_symmetry_space_group_name_H-M 'P 1 2/c 1'
_symmetry_Int_Tables_number 13
_cell_length_a 10.960
_cell_length_b 6.898
_cell_length_c 10.556
_cell_angle_alpha 90.00
_cell_angle_beta 111.59
_cell_angle_gamma 90.00
loop_
_symmetry_equiv_pos_as_xyz
'x,y,z'
'-x,-y,-z'
'-x,y,-z+1/2'
'x,-y,z+1/2'
loop_
_atom_site_label
_atom_site_fract_x
_atom_site_fract_y
_atom_site_fract_z
Lu1 0.048 0.246 0.474
Lu2 0.169 0.095 0.805
Lu3 0.427 0.339 0.072
Ge1 0.224 0.423 0.270
Ge2 0.382 0.138 0.602
O1 0.015 0.079 0.887
O2 0.100 0.476 0.110
O3 0.154 0.222 0.326
O4 0.238 0.173 0.636
O5 0.244 0.386 0.887
O6 0.353 0.055 0.986
O7 0.373 0.356 0.251
O8 0.444 0.345 0.550
O9 0.500 0.029 0.750
```

Most intense lines, 5° ≤ 2θ ≤ 70°, in order of rising 2θ:
hkl, two_theta, intensity
1 1 0, 15.51, 167
2 1 -1, 20.87, 300
3 0 -2, 25.83, 501
0 2 1, 27.41, 436
2 0 2, 29.52, 1000
0 2 2, 31.71, 200
1 0 -4, 34.30, 196
4 1 -1, 35.46, 196
3 2 -1, 35.81, 169
1 2 -3, 36.50, 171

***

This entry pairs a crystal structure of Lu2GeO5 with its simulated X-ray powder pattern. Radiation: Cu Kα X-rays. Structure: a PBE-relaxed structure.
Kinematic intensities with the Lorentz-polarization factor, no thermal factor.

```
data_Lu2GeO5
_symmetry_space_group_name_H-M 'P n m a'
_symmetry_Int_Tables_number 62
_cell_length_a 10.161
_cell_length_b 3.627
_cell_length_c 10.956
_cell_angle_alpha 90.00
_cell_angle_beta 90.00
_cell_angle_gamma 90.00
loop_
_symmetry_equiv_pos_as_xyz
'x,y,z'
'-x,-y,-z'
'-x+1/2,-y,z+1/2'
'x+1/2,y,-z+1/2'
'x+1/2,-y+1/2,-z+1/2'
'-x+1/2,y+1/2,z+1/2'
'-x,y+1/2,-z'
'x,-y+1/2,z'
loop_
_atom_site_label
_atom_site_fract_x
_atom_site_fract_y
_atom_site_fract_z
Lu1 0.111 0.250 0.225
Lu2 0.134 0.250 0.561
Ge1 0.176 0.250 0.885
O1 0.008 0.250 0.844
O2 0.008 0.750 0.604
O3 0.224 0.250 0.045
O4 0.239 0.750 0.888
O5 0.241 0.750 0.234
```

Most intense lines, 5° ≤ 2θ ≤ 70°, in order of rising 2θ:
hkl, two_theta, intensity
1 0 1, 11.88, 195
1 0 3, 25.92, 195
2 0 3, 30.14, 800
2 1 0, 30.28, 1000
0 1 3, 34.86, 427
4 0 0, 35.33, 154
0 2 0, 50.31, 183
4 1 3, 50.48, 387
2 2 3, 59.77, 231
6 1 0, 60.29, 161